Calculated X-ray diffraction stick pattern of Hf3Zr2Sc3 for CuKα, from the PBE geometry in Alexandria.
Lines closer than 0.1° are merged.

Largest 12 diffraction maxima, in order of rising 2θ, 10 to 90 degrees two-theta:
2theta	Rel. int.
21.0	59
31.3	10
33.8	9
36.3	100
36.8	65
42.7	11
52.6	29
57.6	8
65.9	28
66.2	8
73.1	16
89.4	9

Unit cell a=5.763 b=5.763 c=5.763 alpha=94.53 beta=94.53 gamma=94.53
Element x y z (fractional)
Hf1 0.000 0.687 0.313
Hf2 0.313 0.000 0.687
Hf3 0.687 0.313 0.000
Zr1 0.186 0.186 0.186
Zr2 0.814 0.814 0.814
Sc1 0.222 0.500 0.778
Sc2 0.500 0.778 0.222
Sc3 0.778 0.222 0.500

Calculated X-ray diffraction stick pattern of MoWAu2 for CuKα, from the PBE geometry in Alexandria.
Lines closer than 0.1° are merged.

Largest 12 diffraction maxima, in order of rising 2θ, 10 to 90 degrees two-theta:
2theta	Rel. int.
28.9	4
35.3	5
38.8	25
39.2	100
40.4	23
56.0	9
57.3	16
70.2	10
70.5	16
71.3	9
72.7	17
84.3	11

Unit cell a=3.283 b=4.463 c=9.283 alpha=90.00 beta=90.00 gamma=90.00
Element x y z (fractional)
Mo1 0.000 0.000 0.000
Mo2 0.500 0.500 0.000
W1 0.000 0.500 0.231
W2 0.500 0.000 0.231
Au1 0.000 0.000 0.482
Au2 0.000 0.500 0.748
Au3 0.500 0.000 0.748
Au4 0.500 0.500 0.482

Calculated X-ray diffraction stick pattern of K2Ba2Pt for CuKα, from the PBE geometry in Alexandria.
Lines closer than 0.1° are merged.

Largest 12 diffraction maxima, in order of rising 2θ, 10 to 90 degrees two-theta:
2theta	Rel. int.
11.7	45
22.5	18
24.2	39
27.2	100
31.1	35
38.8	40
38.9	35
39.3	31
40.6	18
48.0	21
63.4	18
70.3	19

Unit cell a=4.644 b=4.644 c=45.270 alpha=90.00 beta=90.00 gamma=120.00
Element x y z (fractional)
K1 0.000 0.000 0.124
K2 0.000 0.000 0.876
K3 0.333 0.667 0.543
K4 0.333 0.667 0.791
K5 0.667 0.333 0.209
K6 0.667 0.333 0.457
Ba1 0.000 0.000 0.370
Ba2 0.000 0.000 0.630
Ba3 0.333 0.667 0.037
Ba4 0.333 0.667 0.296
Ba5 0.667 0.333 0.704
Ba6 0.667 0.333 0.963
Pt1 0.000 0.000 0.000
Pt2 0.333 0.667 0.667
Pt3 0.667 0.333 0.333

Calculated X-ray diffraction stick pattern of SnW for CuKα, from the PBE geometry in Alexandria.
Lines closer than 0.1° are merged.

Largest 12 diffraction maxima, in order of rising 2θ, 10 to 90 degrees two-theta:
2theta	Rel. int.
12.2	95
31.6	52
37.3	26
38.4	51
39.5	35
42.4	100
45.2	14
55.4	28
67.3	12
70.2	12
73.6	20
81.0	14

Unit cell a=8.345 b=8.345 c=4.564 alpha=90.00 beta=90.00 gamma=120.00
Element x y z (fractional)
Sn1 0.194 0.389 0.250
Sn2 0.194 0.806 0.250
Sn3 0.389 0.194 0.750
Sn4 0.611 0.806 0.250
Sn5 0.806 0.194 0.750
Sn6 0.806 0.611 0.750
W1 0.116 0.558 0.750
W2 0.442 0.558 0.750
W3 0.442 0.884 0.750
W4 0.558 0.116 0.250
W5 0.558 0.442 0.250
W6 0.884 0.442 0.250